Theoretical PXRD pattern
Compound: CsCoO2
Radiation: a wavelength of 1.5418 Å
Structure: a crystal structure in Alexandria, relaxed with PBE+U

Largest 10 diffraction maxima, most intense first, 10° ≤ 2θ ≤ 80°:
| index | 2θ (°) | I_rel |
| --- | --- | --- |
| 1 3 1 | 27.87 | 100.0 |
| 1 1 2 | 26.74 | 54.2 |
| 2 0 0 | 28.74 | 45.8 |
| 2 0 2 | 36.13 | 24.5 |
| 0 2 3 | 35.38 | 23.2 |
| 0 4 1 | 30.48 | 21.6 |
| 3 3 1 | 50.39 | 19.0 |
| 2 4 3 | 53.01 | 17.8 |
| 1 1 4 | 46.59 | 16.7 |
| 1 5 4 | 59.62 | 13.5 |

Structure:
Cell: 6.213 12.535 8.325 Å, 90.00 90.00 90.00°
Space group Cmce (No. 64)
Symmetry-distinct sites (fractional):
Cs  0.000  0.164  0.070 [8 per cell]
Co  0.000  0.048  0.647 [8 per cell]
O  0.000  0.096  0.427 [8 per cell]
O  0.250  0.088  0.750 [8 per cell]

=====

Theoretical PXRD pattern
Compound: Cs6Co2O7
Radiation: a wavelength of 1.5418 Å
Structure: a crystal structure in Alexandria, relaxed with PBE+U

Largest 10 diffraction maxima, most intense first, 10° ≤ 2θ ≤ 80°:
| index | 2θ (°) | I_rel |
| --- | --- | --- |
| 1 0 2 | 29.20 | 100.0 |
| 2 1 -2 | 25.75 | 96.6 |
| 0 3 1 | 28.56 | 95.0 |
| 1 2 -3 | 28.20 | 91.3 |
| 1 1 -4 | 30.87 | 70.2 |
| 1 3 1 | 34.73 | 66.0 |
| 2 1 -1 | 27.17 | 63.3 |
| 0 2 2 | 25.33 | 59.2 |
| 2 2 -1 | 31.45 | 54.7 |
| 2 0 -4 | 30.23 | 46.9 |

Structure:
Cell: 7.390 9.867 12.379 Å, 90.00 125.94 90.00°
Space group P2_1/c (No. 14)
Symmetry-distinct sites (fractional):
Cs  0.060  0.143  0.420 [4 per cell]
Cs  0.197  0.529  0.445 [4 per cell]
Cs  0.419  0.207  0.285 [4 per cell]
Co  0.325  0.636  0.870 [4 per cell]
O  0.071  0.661  0.857 [4 per cell]
O  0.263  0.588  0.712 [4 per cell]
O  0.495  0.714  0.428 [4 per cell]
O  0.500  0.000  0.500 [2 per cell]

=====

Theoretical PXRD pattern
Compound: CsPa4Co3O12
Radiation: a wavelength of 1.5418 Å
Structure: a crystal structure in Alexandria, relaxed with PBE+U

Largest 10 diffraction maxima, most intense first, 10° ≤ 2θ ≤ 80°:
| index | 2θ (°) | I_rel |
| --- | --- | --- |
| 2 2 0 | 30.34 | 100.0 |
| 4 2 2 | 53.91 | 47.1 |
| 2 0 0 | 21.33 | 32.3 |
| 4 0 0 | 43.44 | 23.1 |
| 6 0 2 | 71.63 | 18.6 |
| 4 0 2 | 48.89 | 16.7 |
| 4 4 0 | 63.12 | 13.9 |
| 2 2 2 | 37.39 | 7.0 |
| 4 4 2 | 67.44 | 6.8 |
| 4 4 4 | 79.74 | 4.8 |

Structure:
Cell: 8.332 8.332 8.332 Å, 90.00 90.00 90.00°
Space group Im-3 (No. 204)
Symmetry-distinct sites (fractional):
Cs  0.000  0.000  0.000 [2 per cell]
Pa  0.250  0.250  0.250 [8 per cell]
Co  0.000  0.000  0.500 [6 per cell]
O  0.000  0.183  0.310 [24 per cell]

=====

Theoretical PXRD pattern
Compound: CsCoS2O8
Radiation: a wavelength of 1.5418 Å
Structure: a crystal structure in Alexandria, relaxed with PBE+U

Largest 10 diffraction maxima, most intense first, 10° ≤ 2θ ≤ 80°:
| index | 2θ (°) | I_rel |
| --- | --- | --- |
| 0 1 2 | 28.76 | 100.0 |
| 1 0 1 | 22.93 | 51.6 |
| 1 0 0 | 20.65 | 44.2 |
| 1 1 0 | 36.17 | 33.1 |
| 0 2 2 | 46.85 | 24.8 |
| 1 0 4 | 45.64 | 23.5 |
| 3 -2 2 | 60.58 | 21.5 |
| 2 -1 2 | 41.57 | 17.4 |
| 1 1 4 | 55.20 | 12.8 |
| 0 0 2 | 19.80 | 12.1 |

Structure:
Cell: 4.9670 4.9670 8.9665 Å, 90.00 90.00 120.00°
Space group P-3 (No. 147)
Symmetry-distinct sites (fractional):
Cs  0.0000  0.0000  0.0000 [1 per cell]
Co  0.0000  0.0000  0.5000 [1 per cell]
S  0.3333  0.6667  0.6885 [2 per cell]
O  0.0785  0.3614  0.6324 [6 per cell]
O  0.3333  0.6667  0.8521 [2 per cell]

=====

Theoretical PXRD pattern
Compound: Cs2SmCo2O6
Radiation: a wavelength of 1.5418 Å
Structure: a crystal structure in Alexandria, relaxed with PBE+U

Largest 10 diffraction maxima, most intense first, 10° ≤ 2θ ≤ 80°:
| index | 2θ (°) | I_rel |
| --- | --- | --- |
| 1 1 0 | 28.31 | 100.0 |
| 0 1 5 | 29.73 | 73.6 |
| 1 0 4 | 25.65 | 40.7 |
| 0 2 4 | 38.57 | 29.7 |
| 1 1 9 | 54.32 | 29.6 |
| 1 2 5 | 51.01 | 27.0 |
| 2 0 5 | 41.51 | 24.7 |
| 3 0 0 | 50.12 | 20.3 |
| 2 2 0 | 58.56 | 18.7 |
| 2 1 4 | 48.53 | 15.3 |

Structure:
Cell: 6.3047 6.3047 18.0017 Å, 90.00 90.00 120.00°
Space group R-3m (No. 166, hexagonal axes)
Symmetry-distinct sites (fractional):
Cs  0.0000  0.0000  0.2234 [6 per cell]
Sm  0.0000  0.0000  0.0000 [3 per cell]
Co  0.0000  0.0000  0.4263 [6 per cell]
O  0.0166  0.5083  0.2569 [18 per cell]

=====

Theoretical PXRD pattern
Compound: Cs4Sm3CoO8
Radiation: a wavelength of 1.5418 Å
Structure: a crystal structure in Alexandria, relaxed with PBE+U

Largest 10 diffraction maxima, most intense first, 10° ≤ 2θ ≤ 80°:
| index | 2θ (°) | I_rel |
| --- | --- | --- |
| 2 2 -2 | 34.06 | 100.0 |
| 2 2 0 | 30.25 | 88.7 |
| 0 0 2 | 25.89 | 75.4 |
| 4 0 0 | 33.11 | 55.9 |
| 4 0 -2 | 29.86 | 46.7 |
| 2 2 2 | 45.69 | 38.5 |
| 6 2 -2 | 50.68 | 33.0 |
| 2 2 -4 | 53.67 | 24.0 |
| 4 0 -4 | 45.88 | 18.1 |
| 6 2 -4 | 58.16 | 16.9 |

Structure:
Cell: 12.573 7.054 7.997 Å, 90.00 120.60 90.00°
Space group C2/m (No. 12)
Symmetry-distinct sites (fractional):
Cs  0.000  0.000  0.000 [2 per cell]
Cs  0.000  0.500  0.000 [2 per cell]
Cs  0.250  0.250  0.000 [4 per cell]
Sm  0.000  0.000  0.500 [2 per cell]
Sm  0.250  0.250  0.500 [4 per cell]
Co  0.000  0.500  0.500 [2 per cell]
O  0.026  0.278  0.348 [8 per cell]
O  0.219  0.000  0.668 [4 per cell]
O  0.245  0.500  0.690 [4 per cell]

=====

Theoretical PXRD pattern
Compound: Cs2SmCoO4
Radiation: a wavelength of 1.5418 Å
Structure: a crystal structure in Alexandria, relaxed with PBE+U

Largest 10 diffraction maxima, most intense first, 10° ≤ 2θ ≤ 80°:
| index | 2θ (°) | I_rel |
| --- | --- | --- |
| 0 2 6 | 26.23 | 100.0 |
| 0 0 4 | 14.81 | 66.3 |
| 2 2 0 | 33.88 | 58.3 |
| 1 1 5 | 25.09 | 50.8 |
| 1 3 5 | 31.88 | 50.6 |
| 0 4 0 | 27.50 | 47.4 |
| 1 1 1 | 17.16 | 43.8 |
| 2 4 6 | 47.88 | 38.0 |
| 0 6 10 | 57.47 | 33.6 |
| 2 0 6 | 38.40 | 33.2 |

Structure:
Cell: 5.795 12.973 23.926 Å, 90.00 90.00 90.00°
Space group Fddd (No. 70, origin choice 2)
Symmetry-distinct sites (fractional):
Cs  0.125  0.125  0.310 [16 per cell]
Sm  0.125  0.125  0.125 [8 per cell]
Co  0.125  0.125  0.625 [8 per cell]
O  0.090  0.287  0.838 [32 per cell]

=====

Theoretical PXRD pattern
Compound: Cs2UCoO6
Radiation: a wavelength of 1.5418 Å
Structure: a crystal structure in Alexandria, relaxed with PBE+U

Largest 10 diffraction maxima, most intense first, 10° ≤ 2θ ≤ 80°:
| index | 2θ (°) | I_rel |
| --- | --- | --- |
| 1 1 2 | 27.51 | 100.0 |
| 2 0 0 | 31.55 | 34.0 |
| 3 1 2 | 53.75 | 31.6 |
| 1 0 1 | 17.59 | 27.8 |
| 0 0 4 | 32.52 | 20.3 |
| 2 0 4 | 45.94 | 19.6 |
| 2 2 0 | 45.22 | 19.4 |
| 2 2 4 | 56.79 | 15.9 |
| 1 1 6 | 55.01 | 14.8 |
| 3 1 6 | 73.87 | 12.5 |

Structure:
Cell: 5.672 5.672 11.015 Å, 90.00 90.00 90.00°
Space group I4mm (No. 107)
Symmetry-distinct sites (fractional):
Cs  0.000  0.500  0.000 [4 per cell]
U  0.000  0.000  0.240 [2 per cell]
Co  0.000  0.000  0.778 [2 per cell]
O  0.000  0.000  0.418 [2 per cell]
O  0.000  0.000  0.935 [2 per cell]
O  0.246  0.246  0.732 [8 per cell]

=====

Theoretical PXRD pattern
Compound: Cs3U2CoO9
Radiation: a wavelength of 1.5418 Å
Structure: a crystal structure in Alexandria, relaxed with PBE+U

Largest 10 diffraction maxima, most intense first, 10° ≤ 2θ ≤ 80°:
| index | 2θ (°) | I_rel |
| --- | --- | --- |
| 1 1 0 | 29.32 | 100.0 |
| 3 0 0 | 51.96 | 31.4 |
| 2 0 2 | 41.95 | 28.6 |
| 0 1 1 | 20.62 | 11.0 |
| 1 0 4 | 52.11 | 10.7 |
| 2 1 4 | 68.99 | 9.6 |
| 0 2 4 | 60.90 | 9.4 |
| 3 1 2 | 68.88 | 9.4 |
| 2 2 0 | 60.74 | 9.2 |
| 1 0 0 | 16.78 | 6.9 |

Structure:
Cell: 6.0996 6.0996 7.4429 Å, 90.00 90.00 120.00°
Space group P-3m1 (No. 164)
Symmetry-distinct sites (fractional):
Cs  0.0000  0.0000  0.0000 [1 per cell]
Cs  0.3333  0.6667  0.6631 [2 per cell]
U  0.3333  0.6667  0.1776 [2 per cell]
Co  0.0000  0.0000  0.5000 [1 per cell]
O  0.0000  0.5000  0.0000 [3 per cell]
O  0.1705  0.3411  0.3311 [6 per cell]

=====

Theoretical PXRD pattern
Compound: CsU2CoO8
Radiation: a wavelength of 1.5418 Å
Structure: a crystal structure in Alexandria, relaxed with PBE+U

Largest 10 diffraction maxima, most intense first, 10° ≤ 2θ ≤ 80°:
| index | 2θ (°) | I_rel |
| --- | --- | --- |
| 0 1 2 | 25.16 | 100.0 |
| 1 0 2 | 24.26 | 83.1 |
| 1 0 -1 | 24.14 | 72.6 |
| 0 1 -1 | 21.52 | 70.5 |
| 0 0 3 | 23.75 | 57.7 |
| 1 -1 0 | 30.19 | 52.3 |
| 1 1 1 | 28.36 | 50.3 |
| 1 0 1 | 21.44 | 44.3 |
| 0 2 1 | 40.93 | 31.9 |
| 2 1 0 | 47.17 | 26.9 |

Structure:
Cell: 4.230 4.488 11.431 Å, 88.13 79.61 86.39°
Space group P-1 (No. 2)
Symmetry-distinct sites (fractional):
Cs  0.000  0.000  0.000 [1 per cell]
U  0.296  0.401  0.304 [2 per cell]
Co  0.000  0.000  0.500 [1 per cell]
O  0.201  0.606  0.706 [2 per cell]
O  0.204  0.900  0.343 [2 per cell]
O  0.254  0.318  0.478 [2 per cell]
O  0.375  0.429  0.136 [2 per cell]

=====

Theoretical PXRD pattern
Compound: Cs2ZnCoO4
Radiation: a wavelength of 1.5418 Å
Structure: a crystal structure in Alexandria, relaxed with PBE+U

Largest 10 diffraction maxima, most intense first, 10° ≤ 2θ ≤ 80°:
| index | 2θ (°) | I_rel |
| --- | --- | --- |
| 0 2 6 | 28.20 | 100.0 |
| 1 1 3 | 22.48 | 63.3 |
| 1 3 3 | 30.30 | 50.8 |
| 0 4 0 | 28.51 | 43.0 |
| 2 2 0 | 38.33 | 39.2 |
| 2 4 6 | 52.76 | 33.7 |
| 2 0 6 | 43.41 | 31.7 |
| 1 3 5 | 34.50 | 25.2 |
| 1 1 1 | 19.32 | 20.5 |
| 0 6 6 | 50.30 | 20.4 |

Structure:
Cell: 5.067 12.522 22.007 Å, 90.00 90.00 90.00°
Space group Fddd (No. 70, origin choice 2)
Symmetry-distinct sites (fractional):
Cs  0.125  0.125  0.299 [16 per cell]
Zn  0.125  0.125  0.125 [8 per cell]
Co  0.125  0.125  0.625 [8 per cell]
O  0.101  0.292  0.831 [32 per cell]